This entry pairs a crystal structure of TbCN5 with its calculated powder diffractogram. Radiation: Cu Kα (weighted mean of Kα1 and Kα2). Structure: a cell relaxed with GGA-PBE.

Structure:
abc: 4.345 4.492 5.087
angles: 107.55 113.09 90.83
Space group P1 (No. 1)
One atom of each set of equivalent atoms:
Tb (0.000, 0.000, 0.000)
C (0.483, 0.304, 0.745)
N (0.250, 0.325, 0.493)
N (0.445, 0.127, 0.901)
N (0.512, 0.768, 0.326)
N (0.777, 0.796, 0.343)
N (0.795, 0.453, 0.837)

Peak list (6 most intense, 2θ from 10° to 90°, in order of rising 2θ)
d/Å, I_rel, hkl
4.410, 100.0, 0 0 1
4.233, 93.2, 0 1 0
3.951, 53.5, 1 0 0
3.843, 75.1, 1 0 -1
3.135, 61.5, 1 -1 0
3.074, 60.2, 1 1 -1

This entry pairs a crystal structure of Cu4Ag with its calculated powder diffractogram. Radiation: Cu Kα (weighted mean of Kα1 and Kα2). Structure: a cell relaxed with GGA-PBE.

Structure:
abc: 6.404 2.694 7.802
angles: 90.00 103.94 90.00
Space group P2_1/m (No. 11)
One atom of each set of equivalent atoms:
Cu (0.038, 0.250, 0.170)
Cu (0.148, 0.750, 0.452)
Cu (0.252, 0.250, 0.732)
Cu (0.448, 0.250, 0.362)
Ag (0.335, 0.750, 0.055)

Peak list (6 most intense, 2θ from 10° to 90°, in order of rising 2θ)
d/Å, I_rel, hkl
2.166, 100.0, 1 0 3
2.133, 31.3, 3 0 -1
1.892, 44.6, 2 1 1
1.824, 16.8, 2 0 -4
1.320, 10.8, 0 1 5
1.306, 10.0, 4 1 -3

This entry pairs a crystal structure of Cu2P8Se3Br2 with its calculated powder diffractogram. Radiation: Cu Kα (weighted mean of Kα1 and Kα2). Structure: a cell relaxed with GGA-PBE.

Structure:
abc: 8.906 12.203 13.905
angles: 90.00 90.00 90.00
Space group Pbcm (No. 57)
One atom of each set of equivalent atoms:
Cu (0.011, 0.127, 0.250)
Cu (0.205, 0.075, 0.750)
P (0.089, 0.195, 0.109)
P (0.201, 0.067, 0.023)
P (0.253, 0.162, 0.612)
P (0.474, 0.242, 0.579)
Se (0.087, 0.750, 0.000)
Se (0.420, 0.079, 0.110)
Br (0.080, 0.571, 0.750)
Br (0.267, 0.622, 0.250)

Peak list (6 most intense, 2θ from 10° to 90°, in order of rising 2θ)
d/Å, I_rel, hkl
4.586, 35.7, 0 2 2
3.896, 35.4, 1 1 3
3.238, 63.6, 1 0 4
3.130, 31.6, 1 1 4
2.825, 100.0, 3 1 1
1.636, 33.6, 3 1 7

This entry pairs a crystal structure of Y3Cu3Sb4 with its calculated powder diffractogram. Radiation: Cu Kα (weighted mean of Kα1 and Kα2). Structure: a cell relaxed with GGA-PBE.

Structure:
abc: 9.581 9.581 9.581
angles: 90.00 90.00 90.00
Space group I-43d (No. 220)
One atom of each set of equivalent atoms:
Y (0.000, 0.250, 0.375)
Cu (0.000, 0.250, 0.875)
Sb (0.080, 0.080, 0.080)

Peak list (6 most intense, 2θ from 10° to 90°, in order of rising 2θ)
d/Å, I_rel, hkl
3.030, 40.0, 3 1 0
2.561, 100.0, 3 2 1
2.142, 24.5, 4 2 0
1.956, 19.6, 4 2 2
1.879, 19.5, 4 3 1
1.515, 13.4, 6 2 0